No. 1
The following is a simulated PXRD pattern of Ta4TiW. It was derived from a cell relaxed with PBE, using Cu Kα (λ = 1.5418 Å).

Principal peaks in the range 5 to 70 degrees two-theta, by intensity:
38.76 deg, rel. 100
38.79 deg, rel. 65
38.97 deg, rel. 35
56.16 deg, rel. 22
55.83 deg, rel. 11
22.10 deg, rel. 7
19.07 deg, rel. 5
24.77 deg, rel. 4

Cell and atoms:
```
data_Ta4TiW
_chemical_formula_sum 'Ta8 Ti2 W2'
_symmetry_space_group_name_H-M 'C 1 2/m 1'
_symmetry_Int_Tables_number 12
_symmetry_space_group_name_Hall '-C 2y'
_cell_length_a 9.8084
_cell_length_b 4.6443
_cell_length_c 5.6774
_cell_angle_alpha 90.00
_cell_angle_beta 124.93
_cell_angle_gamma 90.00
loop_
_atom_site_label
_atom_site_type_symbol
_atom_site_fract_x
_atom_site_fract_y
_atom_site_fract_z
Ta1 Ta 0.1601 0.0000 0.3210
Ta2 Ta 0.1759 0.0000 0.8343
Ti1 Ti 0.0000 0.5000 0.5000
W1 W 0.0000 0.5000 0.0000
```


No. 2
The following is a simulated PXRD pattern of Ta14TiW. It was derived from a cell relaxed with PBE, using Cu Kα (λ = 1.5418 Å).

Principal peaks in the range 5 to 70 degrees two-theta, by intensity:
38.49 deg, rel. 100
69.74 deg, rel. 28
38.61 deg, rel. 20
69.51 deg, rel. 14
55.71 deg, rel. 14
55.36 deg, rel. 7
18.98 deg, rel. 2
16.39 deg, rel. 1

Cell and atoms:
```
data_Ta14TiW
_chemical_formula_sum 'Ta28 Ti2 W2'
_symmetry_space_group_name_H-M 'C m m m'
_symmetry_Int_Tables_number 65
_symmetry_space_group_name_Hall '-C 2 2'
_cell_length_a 6.6382
_cell_length_b 9.3265
_cell_length_c 9.3410
_cell_angle_alpha 90.00
_cell_angle_beta 90.00
_cell_angle_gamma 90.00
loop_
_atom_site_label
_atom_site_type_symbol
_atom_site_fract_x
_atom_site_fract_y
_atom_site_fract_z
Ta1 Ta 0.0000 0.0000 0.0000
Ta2 Ta 0.0000 0.2461 0.2504
Ta3 Ta 0.0000 0.5000 0.0000
Ta4 Ta 0.2443 0.5000 0.2553
Ta5 Ta 0.2500 0.2500 0.0000
Ta6 Ta 0.2500 0.2500 0.5000
Ti1 Ti 0.0000 0.0000 0.5000
W1 W 0.0000 0.5000 0.5000
```